Starting from a structure optimized by DFT (PBE+U), the PXRD pattern of Y2VO5 was calculated for Cu Kα.

Top 10 peaks for 2θ = 5–70°, sorted by position:
21.57°, rel. 48; 23.43°, rel. 28; 23.72°, rel. 67; 27.72°, rel. 86; 28.93°, rel. 96; 29.27°, rel. 33; 29.67°, rel. 100; 32.83°, rel. 58; 39.68°, rel. 38; 55.30°, rel. 28

Structure:
```
32
Lattice="7.711 -3.451 0.000 7.711 3.451 0.000 -5.586 0.000 8.910" Properties=species:S:1:pos:R:3 pbc="T T T"
Y -2.592 0.896 7.479
Y 4.205 1.801 4.806
Y 0.201 -0.896 3.024
Y 2.838 1.801 8.559
Y 6.999 -1.801 0.351
Y 9.635 0.896 5.886
Y 5.631 -1.801 4.104
Y 12.428 -0.896 1.431
V 0.924 0.697 6.195
V 3.717 -0.697 1.740
V 6.119 0.697 7.170
V 8.912 -0.697 2.715
O -0.844 1.015 5.979
O 6.877 2.742 0.916
O 2.179 2.055 6.065
O 5.753 2.742 3.538
O 4.205 0.518 0.479
O 4.864 2.055 7.300
O 1.949 -1.015 1.525
O 1.412 -0.518 4.934
O 1.460 0.100 7.799
O 4.253 -0.100 3.344
O 5.583 0.100 5.565
O 8.376 -0.100 1.110
O 8.425 0.518 3.976
O 7.887 1.015 7.385
O 4.972 -2.055 1.610
O 5.632 -0.518 8.431
O 4.084 -2.742 5.371
O 7.657 -2.055 2.845
O 2.960 -2.742 7.993
O 10.680 -1.015 2.930
```

Starting from a structure optimized by DFT (PBE+U), the PXRD pattern of YVO3 was calculated for Cu Kα.

Top 10 peaks for 2θ = 5–70°, sorted by position:
14.69°, rel. 20; 29.06°, rel. 38; 29.63°, rel. 42; 30.01°, rel. 55; 32.71°, rel. 100; 41.98°, rel. 35; 51.52°, rel. 55; 54.55°, rel. 25; 60.56°, rel. 31; 62.37°, rel. 16

Structure:
```
30
Lattice="6.145 0.000 0.000 -3.073 5.322 0.000 0.000 0.000 12.061" Properties=species:S:1:pos:R:3 pbc="T T T"
Y 0.000 0.000 0.000
Y 0.000 0.000 6.030
Y 0.000 3.548 5.497
Y 0.000 3.548 11.528
Y 3.073 1.774 5.497
Y 3.073 1.774 11.528
V -1.031 1.785 2.706
V -2.042 3.536 8.736
V 2.062 0.000 2.706
V 1.031 1.785 8.736
V 4.083 0.000 8.736
V 2.042 3.536 2.706
O 0.000 0.000 2.512
O 0.000 0.000 8.543
O -0.940 1.628 4.753
O -1.110 1.923 0.788
O -1.962 3.399 6.819
O -2.133 3.694 10.783
O 1.880 0.000 4.753
O 0.940 1.628 10.783
O 0.000 3.548 3.047
O 0.000 3.548 9.077
O 2.220 0.000 0.788
O 1.110 1.923 6.819
O 3.925 0.000 6.819
O 1.962 3.399 0.788
O 3.073 1.774 3.047
O 3.073 1.774 9.077
O 4.266 0.000 10.783
O 2.133 3.694 4.753
```

Starting from a structure optimized by DFT (PBE+U), the PXRD pattern of YbV4O8 was calculated for Cu Kα.

Top 10 peaks for 2θ = 5–70°, sorted by position:
8.24°, rel. 100; 12.59°, rel. 86; 12.90°, rel. 72; 30.57°, rel. 30; 33.42°, rel. 59; 33.54°, rel. 35; 34.29°, rel. 35; 35.07°, rel. 44; 39.63°, rel. 31; 48.84°, rel. 31

Structure:
```
26
Lattice="9.113 0.000 0.000 0.000 3.088 0.000 -0.266 0.000 10.736" Properties=species:S:1:pos:R:3 pbc="T T T"
Yb 2.225 0.772 1.647
Yb 6.622 2.316 9.089
V 0.420 0.772 4.176
V 0.496 0.772 9.558
V 3.619 2.316 9.494
V 3.818 2.316 4.247
V 5.029 0.772 6.489
V 5.228 0.772 1.242
V 8.351 2.316 1.178
V 8.427 2.316 6.560
O -0.153 2.316 8.503
O 0.434 0.772 6.198
O 1.053 2.316 0.262
O 1.938 2.316 3.614
O 2.368 0.772 9.266
O 3.430 0.772 5.516
O 3.820 2.316 0.810
O 4.244 0.772 3.046
O 4.603 2.316 7.690
O 5.027 0.772 9.926
O 5.417 2.316 5.220
O 6.479 2.316 1.470
O 6.909 0.772 7.122
O 7.794 0.772 10.474
O 8.413 2.316 4.538
O 9.000 0.772 2.233
```

Starting from a structure optimized by DFT (PBE+U), the PXRD pattern of YbV4O8 was calculated for Cu Kα.

Top 10 peaks for 2θ = 5–70°, sorted by position:
14.23°, rel. 89; 15.40°, rel. 100; 24.70°, rel. 41; 26.86°, rel. 75; 27.87°, rel. 40; 28.81°, rel. 84; 30.68°, rel. 41; 30.99°, rel. 46; 31.56°, rel. 51; 31.81°, rel. 50

Structure:
```
26
Lattice="7.489 0.000 0.000 -3.441 6.674 0.000 -1.677 -2.627 6.881" Properties=species:S:1:pos:R:3 pbc="T T T"
Yb -0.733 2.180 2.993
Yb 3.104 1.868 3.889
V -2.574 5.174 1.740
V -2.116 1.610 6.603
V -2.809 4.315 5.256
V 1.293 1.281 0.723
V 1.079 2.767 6.159
V 5.180 -0.267 1.626
V 4.487 2.438 0.279
V 4.945 -1.126 5.142
O -0.329 0.180 1.638
O -1.423 3.579 1.299
O -2.176 2.558 4.825
O -1.351 -0.270 6.286
O -2.481 5.035 3.490
O -1.401 6.142 0.583
O 1.167 -0.945 6.445
O 1.550 2.185 2.167
O 0.821 1.863 4.715
O 1.204 4.993 0.437
O 3.772 -2.094 6.299
O 4.853 -0.987 3.391
O 3.722 4.318 0.595
O 4.547 1.490 2.056
O 3.794 0.469 5.582
O 2.700 3.868 5.243
```

Starting from a structure optimized by DFT (PBE+U), the PXRD pattern of YbV4O8 was calculated for Cu Kα.

Top 10 peaks for 2θ = 5–70°, sorted by position:
15.88°, rel. 44; 16.38°, rel. 30; 23.31°, rel. 55; 23.93°, rel. 48; 27.74°, rel. 29; 28.09°, rel. 40; 29.07°, rel. 43; 30.19°, rel. 100; 31.86°, rel. 38; 33.09°, rel. 28

Structure:
```
26
Lattice="6.524 0.000 0.000 3.235 7.079 0.000 1.194 3.658 7.441" Properties=species:S:1:pos:R:3 pbc="T T T"
Yb 2.797 3.249 3.286
Yb 8.156 7.488 4.155
V 2.541 5.694 7.325
V 4.049 6.394 2.185
V 4.740 6.941 5.636
V 6.449 9.725 6.649
V 4.504 1.011 0.792
V 6.212 3.795 1.806
V 6.904 4.342 5.257
V 8.412 5.043 0.116
O 1.708 3.478 1.304
O 2.182 4.303 5.703
O 4.012 7.216 3.819
O 4.930 8.559 6.719
O 4.837 7.269 0.765
O 4.549 5.559 6.985
O 4.455 4.638 2.505
O 7.100 9.298 5.055
O 3.853 1.438 2.386
O 6.498 6.098 4.936
O 6.404 5.178 0.456
O 6.116 3.468 6.677
O 6.023 2.177 0.722
O 6.941 3.520 3.622
O 8.771 6.433 1.738
O 9.245 7.259 6.137
```

Starting from a structure optimized by DFT (PBE+U), the PXRD pattern of YbV8O16 was calculated for Cu Kα.

Top 10 peaks for 2θ = 5–70°, sorted by position:
10.67°, rel. 100; 15.29°, rel. 54; 25.80°, rel. 51; 27.47°, rel. 51; 28.50°, rel. 41; 31.80°, rel. 80; 32.30°, rel. 71; 32.40°, rel. 50; 34.64°, rel. 54; 48.94°, rel. 60

Structure:
```
25
Lattice="8.367 0.000 0.000 0.000 3.722 0.000 -1.276 0.000 9.261" Properties=species:S:1:pos:R:3 pbc="T T T"
Yb 0.000 0.000 0.000
V 0.849 0.000 5.656
V 1.236 1.861 8.144
V 2.289 0.000 2.581
V 3.999 0.000 7.216
V 4.844 1.861 4.022
V 5.425 0.000 1.635
V 6.891 1.861 6.302
V 7.858 1.861 2.771
O -1.099 1.861 8.137
O 0.766 0.000 3.869
O 1.203 1.861 1.693
O 0.714 1.861 6.265
O 0.868 0.000 8.336
O 2.711 0.000 5.997
O 3.126 1.861 3.477
O 3.699 0.000 1.285
O 2.959 1.861 7.986
O 5.036 0.000 3.683
O 4.932 1.861 6.250
O 4.758 0.000 8.877
O 5.720 1.861 2.147
O 6.879 1.861 4.450
O 7.400 0.000 1.994
O 7.307 0.000 6.273
```

Starting from a structure optimized by DFT (PBE+U), the PXRD pattern of VZn6O6 was calculated for Cu Kα.

Top 10 peaks for 2θ = 5–70°, sorted by position:
15.44°, rel. 10; 21.91°, rel. 54; 31.17°, rel. 35; 34.97°, rel. 100; 38.43°, rel. 77; 50.28°, rel. 10; 55.47°, rel. 36; 57.95°, rel. 24; 60.36°, rel. 36; 65.02°, rel. 23

Structure:
```
13
Lattice="5.738 0.000 0.000 0.000 5.738 0.000 0.000 0.000 5.738" Properties=species:S:1:pos:R:3 pbc="T T T"
V 0.000 0.000 0.000
Zn 0.000 1.447 2.869
Zn 0.000 4.291 2.869
Zn 1.447 2.869 0.000
Zn 2.869 0.000 1.447
Zn 2.869 0.000 4.291
Zn 4.291 2.869 0.000
O 0.000 2.869 1.430
O 0.000 2.869 4.308
O 1.430 0.000 2.869
O 2.869 1.430 0.000
O 2.869 4.308 0.000
O 4.308 0.000 2.869
```

Starting from a structure optimized by DFT (PBE+U), the PXRD pattern of V4ZnO6 was calculated for Cu Kα.

Top 10 peaks for 2θ = 5–70°, sorted by position:
33.57°, rel. 100; 35.53°, rel. 18; 35.97°, rel. 23; 38.72°, rel. 13; 42.24°, rel. 48; 44.25°, rel. 33; 57.00°, rel. 18; 57.99°, rel. 16; 62.57°, rel. 15; 62.78°, rel. 12

Structure:
```
22
Lattice="1.480 -5.053 0.000 1.480 5.053 0.000 0.000 0.000 15.715" Properties=species:S:1:pos:R:3 pbc="T T T"
V 1.480 3.960 10.035
V 1.480 3.960 13.538
V 1.480 1.340 8.600
V 1.480 1.340 14.973
V 1.480 -1.340 0.743
V 1.480 -1.340 7.115
V 1.480 -3.960 2.178
V 1.480 -3.960 5.680
Zn 1.480 3.604 3.929
Zn 1.480 -3.604 11.786
O 0.000 0.000 0.000
O 0.000 0.000 7.858
O 1.480 2.861 11.786
O 1.480 2.281 1.222
O 1.480 2.281 6.635
O 1.480 0.290 10.399
O 1.480 0.290 13.174
O 1.480 -0.290 2.541
O 1.480 -0.290 5.317
O 1.480 -2.281 9.080
O 1.480 -2.281 14.493
O 1.480 -2.861 3.929
```

Starting from a structure optimized by DFT (PBE+U), the PXRD pattern of V3ZnO8 was calculated for Cu Kα.

Top 10 peaks for 2θ = 5–70°, sorted by position:
12.17°, rel. 31; 18.28°, rel. 41; 23.32°, rel. 100; 28.10°, rel. 47; 30.04°, rel. 43; 32.23°, rel. 53; 32.64°, rel. 72; 38.07°, rel. 34; 48.13°, rel. 37; 61.06°, rel. 40

Structure:
```
48
Lattice="-4.992 7.271 4.305 4.992 -7.271 4.305 4.992 7.271 -4.305" Properties=species:S:1:pos:R:3 pbc="T T T"
V 8.314 0.315 0.051
V 3.384 -2.206 2.678
V 0.582 2.930 0.000
V 5.575 4.340 0.000
V 6.600 2.206 2.678
V 3.322 6.955 0.051
V 1.670 0.315 4.355
V 1.608 5.065 2.678
V -0.582 2.930 4.305
V 4.410 4.340 4.305
V -1.608 9.476 2.678
V -3.322 6.955 4.355
Zn 6.704 -2.247 1.684
Zn 3.280 2.247 1.684
Zn -1.712 5.024 1.684
Zn 1.712 9.517 1.684
O 6.532 -3.974 2.911
O 2.747 1.196 -0.041
O 2.276 -1.116 1.421
O 0.177 1.154 0.089
O 6.532 3.974 -1.394
O 4.889 -1.621 2.221
O 4.143 3.396 -0.098
O 7.708 1.116 1.421
O 4.143 -3.396 4.207
O 2.821 6.121 -1.298
O 5.095 1.621 2.221
O 1.463 3.444 1.402
O 2.747 -1.196 4.264
O 6.455 3.827 1.402
O 2.172 1.149 3.006
O 5.169 6.117 0.089
O -1.540 3.297 2.911
O 2.246 8.467 -0.041
O 2.716 6.155 1.421
O -0.177 1.154 4.393
O 3.452 3.974 2.911
O 0.103 5.650 2.221
O 0.849 10.666 -0.098
O 2.276 1.116 5.726
O 0.849 3.875 4.207
O -2.821 6.121 3.006
O -0.103 8.891 2.221
O -1.463 3.444 5.707
O 2.246 6.074 4.264
O -1.463 11.097 1.402
O 2.821 8.420 3.006
O 4.815 6.117 4.393
```

Please write out number 6 again, unchanged.
Starting from a structure optimized by DFT (PBE+U), the PXRD pattern of YbV8O16 was calculated for Cu Kα.

Top 10 peaks for 2θ = 5–70°, sorted by position:
10.67°, rel. 100; 15.29°, rel. 54; 25.80°, rel. 51; 27.47°, rel. 51; 28.50°, rel. 41; 31.80°, rel. 80; 32.30°, rel. 71; 32.40°, rel. 50; 34.64°, rel. 54; 48.94°, rel. 60

Structure:
```
25
Lattice="8.367 0.000 0.000 0.000 3.722 0.000 -1.276 0.000 9.261" Properties=species:S:1:pos:R:3 pbc="T T T"
Yb 0.000 0.000 0.000
V 0.849 0.000 5.656
V 1.236 1.861 8.144
V 2.289 0.000 2.581
V 3.999 0.000 7.216
V 4.844 1.861 4.022
V 5.425 0.000 1.635
V 6.891 1.861 6.302
V 7.858 1.861 2.771
O -1.099 1.861 8.137
O 0.766 0.000 3.869
O 1.203 1.861 1.693
O 0.714 1.861 6.265
O 0.868 0.000 8.336
O 2.711 0.000 5.997
O 3.126 1.861 3.477
O 3.699 0.000 1.285
O 2.959 1.861 7.986
O 5.036 0.000 3.683
O 4.932 1.861 6.250
O 4.758 0.000 8.877
O 5.720 1.861 2.147
O 6.879 1.861 4.450
O 7.400 0.000 1.994
O 7.307 0.000 6.273
```